No. 1
For La5Tl2Au, a cell relaxed with GGA-PBE gives the computed powder X-ray diffraction pattern in this record (Cu Kα, 1.54184 Å).
Neutral-atom scattering factors, no anomalous dispersion.

Largest 8 diffraction maxima, in order of rising 2θ, 2θ = 10–80°:
| 2θ (°) | d_spacing | I_rel |
| --- | --- | --- |
| 28.78 | 3.102 | 24 |
| 29.14 | 3.064 | 29 |
| 30.88 | 2.896 | 100 |
| 31.29 | 2.858 | 90 |
| 31.92 | 2.804 | 27 |
| 32.98 | 2.716 | 27 |
| 33.77 | 2.654 | 70 |
| 58.60 | 1.575 | 31 |

```
16
Lattice="7.145 0.000 0.000 0.000 13.569 0.000 0.000 0.000 5.308" Properties=species:S:1:pos:R:3 pbc="T T T"
La 0.000 0.000 0.000
La 0.907 3.825 0.000
La 1.169 7.985 2.654
La 2.404 1.200 2.654
La 2.665 10.610 0.000
La 3.573 6.784 0.000
La 4.480 2.959 0.000
La 4.741 12.368 2.654
La 5.977 5.584 2.654
La 6.238 9.744 0.000
Tl 0.836 11.473 2.654
Tl 2.736 4.688 2.654
Tl 4.409 8.881 2.654
Tl 6.309 2.096 2.654
Au 0.000 6.784 0.000
Au 3.573 0.000 0.000
```

No. 2
For LaTl3Au3, a cell relaxed with GGA-PBE gives the computed powder X-ray diffraction pattern in this record (Cu Kα, 1.54184 Å).
Neutral-atom scattering factors, no anomalous dispersion.

Largest 8 diffraction maxima, in order of rising 2θ, 2θ = 10–80°:
| 2θ (°) | d_spacing | I_rel |
| --- | --- | --- |
| 16.29 | 5.442 | 43 |
| 23.11 | 3.848 | 41 |
| 28.41 | 3.142 | 100 |
| 40.61 | 2.222 | 51 |
| 44.02 | 2.057 | 62 |
| 47.24 | 1.924 | 39 |
| 69.03 | 1.361 | 26 |
| 76.27 | 1.248 | 19 |

```
14
Lattice="7.696 0.000 0.000 0.000 7.696 0.000 0.000 0.000 7.696" Properties=species:S:1:pos:R:3 pbc="T T T"
La 0.000 0.000 0.000
La 3.848 3.848 3.848
Tl 0.000 1.924 3.848
Tl 0.000 5.772 3.848
Tl 1.924 3.848 0.000
Tl 3.848 0.000 1.924
Tl 3.848 0.000 5.772
Tl 5.772 3.848 0.000
Au 0.000 3.848 1.924
Au 0.000 3.848 5.772
Au 1.924 0.000 3.848
Au 3.848 1.924 0.000
Au 3.848 5.772 0.000
Au 5.772 0.000 3.848
```

No. 3
For La6TlAu, a cell relaxed with GGA-PBE gives the computed powder X-ray diffraction pattern in this record (Cu Kα, 1.54184 Å).
Neutral-atom scattering factors, no anomalous dispersion.

Largest 8 diffraction maxima, in order of rising 2θ, 2θ = 10–80°:
| 2θ (°) | d_spacing | I_rel |
| --- | --- | --- |
| 30.01 | 2.977 | 47 |
| 31.00 | 2.884 | 54 |
| 31.86 | 2.809 | 100 |
| 33.11 | 2.706 | 78 |
| 43.69 | 2.072 | 34 |
| 53.64 | 1.709 | 18 |
| 55.69 | 1.650 | 20 |
| 56.51 | 1.629 | 16 |

```
8
Lattice="7.818 -2.884 0.000 7.818 2.884 0.000 -1.968 0.000 5.629" Properties=species:S:1:pos:R:3 pbc="T T T"
La 1.548 0.000 0.624
La 2.818 0.000 3.905
La 5.308 0.000 1.977
La 8.360 0.000 3.653
La 10.850 0.000 1.724
La 12.120 0.000 5.005
Tl -0.984 0.000 2.815
Au 7.818 0.000 0.000
```

No. 4
For La3YAu4, a cell relaxed with GGA-PBE gives the computed powder X-ray diffraction pattern in this record (Cu Kα, 1.54184 Å).
Neutral-atom scattering factors, no anomalous dispersion.

Largest 8 diffraction maxima, in order of rising 2θ, 2θ = 10–80°:
| 2θ (°) | d_spacing | I_rel |
| --- | --- | --- |
| 33.85 | 2.648 | 100 |
| 34.12 | 2.627 | 51 |
| 48.21 | 1.888 | 8 |
| 49.03 | 1.858 | 19 |
| 60.38 | 1.533 | 17 |
| 60.91 | 1.521 | 37 |
| 71.21 | 1.324 | 10 |
| 71.86 | 1.314 | 6 |

```
8
Lattice="3.716 0.000 0.000 0.000 3.716 0.000 0.000 0.000 15.100" Properties=species:S:1:pos:R:3 pbc="T T T"
La 0.000 0.000 0.000
La 0.000 0.000 3.849
La 0.000 0.000 11.251
Y 0.000 0.000 7.550
Au 1.858 1.858 1.915
Au 1.858 1.858 5.881
Au 1.858 1.858 9.220
Au 1.858 1.858 13.185
```